(1)
Starting from a GGA-PBE-relaxed structure, the powder diffractogram of SrMgZr2 was simulated for Cu Kα, 1.54184 Å.

```
data_SrMgZr2
_chemical_formula_sum 'Sr2 Mg2 Zr4'
_symmetry_space_group_name_H-M 'C 1 2/m 1'
_symmetry_Int_Tables_number 12
_cell_length_a 12.903
_cell_length_b 3.421
_cell_length_c 5.375
_cell_angle_alpha 90.00
_cell_angle_beta 114.53
_cell_angle_gamma 90.00
loop_
_symmetry_equiv_pos_as_xyz
'x,y,z'
'-x,-y,-z'
'-x,y,-z'
'x,-y,z'
'x+1/2,y+1/2,z'
'-x+1/2,-y+1/2,-z'
'-x+1/2,y+1/2,-z'
'x+1/2,-y+1/2,z'
loop_
_atom_site_label
_atom_site_fract_x
_atom_site_fract_y
_atom_site_fract_z
Sr1 0.000 0.000 0.000
Mg1 0.000 0.500 0.500
Zr1 0.223 0.000 0.722
```

Most intense lines, 10 to 80 degrees two-theta, sorted by position:
two_theta, I_rel
28.21, 24
30.46, 28
33.34, 30
34.64, 100
45.78, 18
60.42, 19

(2)
Starting from a GGA-PBE-relaxed structure, the powder diffractogram of Mg6Ta7 was simulated for Cu Kα, 1.54184 Å.

```
data_Mg6Ta7
_chemical_formula_sum 'Mg18 Ta21'
_symmetry_space_group_name_H-M 'R -3 m'
_symmetry_Int_Tables_number 166
_symmetry_space_group_name_Hall '-R 3 2"'
_cell_length_a 5.5447
_cell_length_b 5.5447
_cell_length_c 30.1992
_cell_angle_alpha 90.00
_cell_angle_beta 90.00
_cell_angle_gamma 120.00
loop_
_atom_site_label
_atom_site_fract_x
_atom_site_fract_y
_atom_site_fract_z
Mg1 0.0000 0.0000 0.0496
Mg2 0.0000 0.0000 0.1500
Mg3 0.0000 0.0000 0.3334
Ta1 0.0000 0.0000 0.5000
Ta2 0.0024 0.5012 0.0908
```

Most intense lines, 10 to 80 degrees two-theta, sorted by position:
two_theta, I_rel
17.62, 100
18.71, 81
37.02, 58
37.58, 47
40.43, 96
43.12, 42

(3)
Starting from a GGA-PBE-relaxed structure, the powder diffractogram of MgTa2TcW was simulated for Cu Kα, 1.54184 Å.

```
data_MgTa2TcW
_chemical_formula_sum 'Mg1 Ta2 Tc1 W1'
_symmetry_space_group_name_H-M 'P 4/m m m'
_symmetry_Int_Tables_number 123
_symmetry_space_group_name_Hall '-P 4 2'
_cell_length_a 4.725
_cell_length_b 4.725
_cell_length_c 4.245
_cell_angle_alpha 90.00
_cell_angle_beta 90.00
_cell_angle_gamma 90.00
loop_
_atom_site_label
_atom_site_fract_x
_atom_site_fract_y
_atom_site_fract_z
Mg1 0.000 0.000 0.000
Ta1 0.000 0.500 0.000
Tc1 0.000 0.000 0.500
W1 0.500 0.500 0.500
```

Most intense lines, 10 to 80 degrees two-theta, sorted by position:
two_theta, I_rel
34.15, 100
38.09, 44
42.59, 16
54.97, 15
58.45, 25
66.32, 30

(4)
Starting from a GGA-PBE-relaxed structure, the powder diffractogram of Mg2TaTl was simulated for Cu Kα, 1.54184 Å.

```
data_Mg2TaTl
_chemical_formula_sum 'Mg4 Ta2 Tl2'
_symmetry_space_group_name_H-M 'I 4/m m m'
_symmetry_Int_Tables_number 139
_symmetry_space_group_name_Hall '-I 4 2'
_cell_length_a 4.139
_cell_length_b 4.139
_cell_length_c 9.795
_cell_angle_alpha 90.00
_cell_angle_beta 90.00
_cell_angle_gamma 90.00
loop_
_atom_site_label
_atom_site_fract_x
_atom_site_fract_y
_atom_site_fract_z
Mg1 0.000 0.500 0.250
Ta1 0.000 0.000 0.000
Tl1 0.000 0.000 0.500
```

Most intense lines, 10 to 80 degrees two-theta, sorted by position:
two_theta, I_rel
18.11, 76
30.55, 43
35.74, 100
43.75, 29
47.71, 26
48.47, 25

(5)
Starting from a GGA-PBE-relaxed structure, the powder diffractogram of Tb2Mg5 was simulated for Cu Kα, 1.54184 Å.

```
data_Tb2Mg5
_chemical_formula_sum 'Tb8 Mg20'
_symmetry_space_group_name_H-M 'I b a m'
_symmetry_Int_Tables_number 72
_symmetry_space_group_name_Hall '-I 2 2c'
_cell_length_a 7.838
_cell_length_b 14.139
_cell_length_c 6.647
_cell_angle_alpha 90.00
_cell_angle_beta 90.00
_cell_angle_gamma 90.00
loop_
_atom_site_label
_atom_site_fract_x
_atom_site_fract_y
_atom_site_fract_z
Tb1 0.176 0.094 0.000
Mg1 0.000 0.271 0.250
Mg2 0.000 0.500 0.250
Mg3 0.237 0.134 0.500
```

Most intense lines, 10 to 80 degrees two-theta, sorted by position:
two_theta, I_rel
21.57, 100
30.84, 41
32.63, 48
35.41, 33
37.13, 35
55.28, 34

(6)
Starting from a GGA-PBE-relaxed structure, the powder diffractogram of Tb3Mg2 was simulated for Cu Kα, 1.54184 Å.

```
data_Tb3Mg2
_chemical_formula_sum 'Tb12 Mg8'
_symmetry_space_group_name_H-M 'P 42/m n m'
_symmetry_Int_Tables_number 136
_symmetry_space_group_name_Hall '-P 4n 2n'
_cell_length_a 9.090
_cell_length_b 9.090
_cell_length_c 7.073
_cell_angle_alpha 90.00
_cell_angle_beta 90.00
_cell_angle_gamma 90.00
loop_
_atom_site_label
_atom_site_fract_x
_atom_site_fract_y
_atom_site_fract_z
Tb1 0.000 0.500 0.250
Tb2 0.166 0.166 0.000
Tb3 0.181 0.181 0.500
Mg1 0.122 0.878 0.270
```

Most intense lines, 10 to 80 degrees two-theta, sorted by position:
two_theta, I_rel
21.86, 76
28.81, 42
31.11, 92
32.07, 93
33.59, 100
49.76, 46

Question: Which formula does entry 5 have?
Answer: Tb2Mg5